Record 1
Diffraction record for LiP2WO8. The X-ray powder pattern is computed, not measured: it uses a GGA+U-relaxed structure and λ = 1.5418 Å (Cu Kα).
Kinematic intensities with the Lorentz-polarization factor, no thermal factor.

Peak list (10 most intense, 2θ from 10° to 90°, sorted by position)
index	two_theta	d (Å)	intensity
0 1 1	11.12	7.955	33
0 1 2	17.44	5.085	26
0 2 1	17.81	4.980	89
1 1 1	20.05	4.429	20
1 0 2	22.79	3.902	100
1 2 1	24.46	3.639	18
0 3 1	25.38	3.509	27
1 3 1	30.50	2.931	20
1 2 3	33.10	2.707	47
0 5 2	43.85	2.064	20

Unit cell a=5.3319 b=11.0596 c=11.4515 alpha=90.00 beta=90.00 gamma=90.00
Space group P2_12_12_1 (No. 19)
Unique sites:
Li  0.2436  0.2488  0.3902 [4 per cell]
P  0.2456  0.9045  0.5402 [4 per cell]
P  0.2501  0.1378  0.6601 [4 per cell]
W  0.2494  0.4032  0.1531 [4 per cell]
O  0.0033  0.6687  0.7800 [4 per cell]
O  0.0045  0.9386  0.4760 [4 per cell]
O  0.0204  0.8288  0.2362 [4 per cell]
O  0.0231  0.0648  0.9677 [4 per cell]
O  0.2277  0.8049  0.0424 [4 per cell]
O  0.2425  0.5475  0.2144 [4 per cell]
O  0.2444  0.7772  0.5881 [4 per cell]
O  0.2451  0.0084  0.1531 [4 per cell]



Record 2
Diffraction record for Sr3CoRuO6. The X-ray powder pattern is computed, not measured: it uses a GGA+U-relaxed structure and λ = 1.5418 Å (Cu Kα).
Kinematic intensities with the Lorentz-polarization factor, no thermal factor.

Peak list (10 most intense, 2θ from 10° to 90°, sorted by position)
index	two_theta	d (Å)	intensity
0 1 2	19.06	4.656	16
1 1 3	30.22	2.958	67
3 0 0	31.81	2.813	100
0 2 4	38.68	2.328	21
1 3 1	39.34	2.291	13
2 1 4	43.06	2.101	26
2 2 3	44.45	2.038	40
1 4 3	55.69	1.650	14
3 3 0	56.68	1.624	16
3 2 4	57.98	1.591	20

Unit cell a=9.7436 b=9.7436 c=11.1657 alpha=90.00 beta=90.00 gamma=120.00
Space group R-3c (No. 167, hexagonal axes)
Unique sites:
Sr  0.0000  0.3627  0.2500 [18 per cell]
Co  0.0000  0.0000  0.2500 [6 per cell]
Ru  0.0000  0.0000  0.0000 [6 per cell]
O  0.0279  0.1764  0.3885 [36 per cell]



Record 3
Diffraction record for NaSrCeMnO6. The X-ray powder pattern is computed, not measured: it uses a GGA+U-relaxed structure and λ = 1.5418 Å (Cu Kα).
Kinematic intensities with the Lorentz-polarization factor, no thermal factor.

Peak list (10 most intense, 2θ from 10° to 90°, sorted by position)
index	two_theta	d (Å)	intensity
1 1 1	18.69	4.748	26
2 0 0	21.61	4.112	23
2 2 0	30.75	2.908	100
3 1 1	36.23	2.480	20
4 0 0	44.05	2.056	38
3 3 1	48.24	1.887	11
4 2 2	54.68	1.679	39
4 4 0	64.05	1.454	22
6 2 0	72.72	1.300	17
6 4 2	89.10	1.099	21

Unit cell a=8.2237 b=8.2237 c=8.2237 alpha=90.00 beta=90.00 gamma=90.00
Space group F-43m (No. 216)
Unique sites:
Na  0.0000  0.0000  0.0000 [4 per cell]
Sr  0.0000  0.0000  0.5000 [4 per cell]
Ce  0.2500  0.2500  0.2500 [4 per cell]
Mn  0.2500  0.2500  0.7500 [4 per cell]
O  0.0174  0.2500  0.7500 [24 per cell]